No. 1
For AcNp2O7, DFT lattice parameters and positions (PBE) gives the computed powder X-ray diffraction pattern in this record (λ = 1.5418 Å (Cu Kα)).
Peak positions follow from Bragg's law for the DFT cell and can differ from measured ones.

The 6 most intense peaks (2θ from 10° to 80°), sorted by position:
- hkl 0 0 9, 25.11 deg, intensity 54
- hkl 0 1 2, 27.01 deg, intensity 100
- hkl 0 1 5, 29.95 deg, intensity 48
- hkl 1 0 7, 33.02 deg, intensity 63
- hkl 1 1 0, 46.62 deg, intensity 50
- hkl 1 1 9, 53.67 deg, intensity 43

Atomic structure:
Cell: 3.8968 3.8968 31.9203 Å, 90.00 90.00 120.00°
Space group R-3m (No. 166, hexagonal axes)
Asymmetric unit:
Ac (0.0000, 0.0000, 0.0000) (multiplicity 3)
Np (0.0000, 0.0000, 0.4355) (multiplicity 6)
O (0.0000, 0.0000, 0.0830) (multiplicity 6)
O (0.0000, 0.0000, 0.2191) (multiplicity 6)
O (0.0000, 0.0000, 0.3680) (multiplicity 6)
O (0.0000, 0.0000, 0.5000) (multiplicity 3)


No. 2
For MoPd, DFT lattice parameters and positions (PBE) gives the computed powder X-ray diffraction pattern in this record (λ = 1.5418 Å (Cu Kα)).
Peak positions follow from Bragg's law for the DFT cell and can differ from measured ones.

The 6 most intense peaks (2θ from 10° to 80°), sorted by position:
- hkl 5 0 1, 36.57 deg, intensity 24
- hkl 6 0 0, 37.96 deg, intensity 58
- hkl 1 1 1, 38.25 deg, intensity 45
- hkl 2 0 2, 39.05 deg, intensity 66
- hkl 3 1 1, 42.41 deg, intensity 100
- hkl 4 0 2, 45.09 deg, intensity 36

Atomic structure:
Cell: 14.2209 2.7356 4.8769 Å, 90.00 90.00 90.00°
Space group Pmn2_1 (No. 31)
Asymmetric unit:
Mo (0.0000, 0.1998, 0.0000) (multiplicity 2)
Mo (0.1475, 0.9859, 0.2698) (multiplicity 4)
Pd (0.0000, 0.5978, 0.5211) (multiplicity 2)
Pd (0.1864, 0.5182, 0.7644) (multiplicity 4)


No. 3
For Tl2In2SnHg2, DFT lattice parameters and positions (PBE) gives the computed powder X-ray diffraction pattern in this record (λ = 1.5418 Å (Cu Kα)).
Peak positions follow from Bragg's law for the DFT cell and can differ from measured ones.

The 6 most intense peaks (2θ from 10° to 80°), sorted by position:
- hkl 1 1 0, 32.88 deg, intensity 100
- hkl 1 0 7, 33.36 deg, intensity 94
- hkl 0 2 7, 47.54 deg, intensity 35
- hkl 3 0 0, 58.70 deg, intensity 19
- hkl 2 1 7, 59.01 deg, intensity 37
- hkl 0 1 14, 59.93 deg, intensity 17

Atomic structure:
Cell: 5.4484 5.4484 22.8664 Å, 90.00 90.00 120.00°
Space group R-3m (No. 166, hexagonal axes)
Asymmetric unit:
Tl (0.0000, 0.0000, 0.1416) (multiplicity 6)
In (0.0000, 0.0000, 0.4209) (multiplicity 6)
Sn (0.0000, 0.0000, 0.0000) (multiplicity 3)
Hg (0.0000, 0.0000, 0.2850) (multiplicity 6)